This entry pairs a crystal structure of Pr2SbPt8 with its computed powder diffractogram. Radiation: copper Kα. Structure: a structure optimized by DFT (PBE).
Lines closer than 0.1° are merged.

Structural model:
Cell lengths 4.347, 17.986, 5.598 Å; angles 90.00, 90.00, 90.00 degrees
Space group Amm2 (No. 38)
Unique sites:
Pr: 0.000 0.128 0.000 (multiplicity 4)
Sb: 0.500 0.000 0.274 (multiplicity 2)
Pt: 0.000 0.000 0.537 (multiplicity 2)
Pt: 0.000 0.205 0.516 (multiplicity 4)
Pt: 0.500 0.000 0.837 (multiplicity 2)
Pt: 0.500 0.118 0.527 (multiplicity 4)
Pt: 0.500 0.250 0.271 (multiplicity 4)

Largest 6 diffraction maxima, by angle, 2θ from 10° to 90°:
d_spacing  2θ/deg  intensity
5.345  16.59  268
2.484  36.17  1000
2.376  37.86  293
2.353  38.25  390
2.173  41.55  484
2.085  43.40  573